TbTh2S3: computed powder diffractogram (λ = 1.5418 Å (Cu Kα)), based on a structure optimized by DFT (GGA-PBE).
Neutral-atom scattering factors, no anomalous dispersion.

Top 10 peaks for 10° ≤ 2θ ≤ 80°, low angle first:
2θ (°)	I/Imax
27.2	97
31.6	100
45.2	74
53.6	49
56.2	26
65.8	8
66.0	4
72.7	20
74.9	22
75.0	11

Crystal structure
```
12
Lattice="4.012 0.000 0.000 0.000 4.012 0.000 0.000 0.000 16.992" Properties=species:S:1:pos:R:3 pbc="T T T"
Tb 0.000 0.000 0.000
Tb 2.006 2.006 8.496
Th 0.000 0.000 5.638
Th 0.000 0.000 11.354
Th 2.006 2.006 2.858
Th 2.006 2.006 14.134
S 0.000 0.000 2.763
S 0.000 0.000 8.496
S 0.000 0.000 14.229
S 2.006 2.006 0.000
S 2.006 2.006 5.733
S 2.006 2.006 11.259
```



Tb2Th2S7: computed powder diffractogram (λ = 1.5418 Å (Cu Kα)), based on a structure optimized by DFT (GGA-PBE).
Neutral-atom scattering factors, no anomalous dispersion.

Top 10 peaks for 10° ≤ 2θ ≤ 80°, low angle first:
2θ (°)	I/Imax
24.1	100
24.2	54
25.5	41
27.4	68
35.4	78
38.1	20
40.3	50
44.1	28
44.7	22
51.4	27

Crystal structure
```
11
Lattice="-2.029 6.997 4.350 2.029 -6.997 4.350 2.029 6.997 -4.350" Properties=species:S:1:pos:R:3 pbc="T T T"
Tb 0.000 0.000 0.000
Tb 0.000 6.997 0.348
Th 2.029 3.669 -2.139
Th 0.000 3.328 2.211
S 2.029 1.924 0.450
S 2.029 -2.590 3.916
S 0.000 0.000 2.795
S 2.029 5.437 1.978
S 2.029 2.590 3.916
S 0.000 1.560 6.328
S 0.000 5.073 4.799
```



TbTi4S8: computed powder diffractogram (λ = 1.5418 Å (Cu Kα)), based on a structure optimized by DFT (GGA-PBE).
Neutral-atom scattering factors, no anomalous dispersion.

Top 10 peaks for 10° ≤ 2θ ≤ 80°, low angle first:
2θ (°)	I/Imax
15.5	48
17.4	40
23.6	19
25.8	15
27.4	15
29.4	21
35.3	100
48.3	36
53.1	29
65.4	15

Crystal structure
```
13
Lattice="3.448 1.991 6.470 -3.448 1.991 6.470 0.000 -3.981 6.470" Properties=species:S:1:pos:R:3 pbc="T T T"
Tb 0.000 0.000 0.000
Ti -3.448 0.000 9.705
Ti -1.724 0.995 3.235
Ti 1.724 0.995 3.235
Ti 0.000 0.000 9.705
S 0.000 0.000 4.630
S -1.689 -0.975 11.163
S 0.000 -1.950 8.247
S -1.689 0.975 8.247
S 1.689 -0.975 11.163
S 0.000 1.950 11.163
S 1.689 0.975 8.247
S 0.000 0.000 14.780
```



TbTl2S4: computed powder diffractogram (λ = 1.5418 Å (Cu Kα)), based on a structure optimized by DFT (GGA-PBE).
Neutral-atom scattering factors, no anomalous dispersion.

Top 10 peaks for 10° ≤ 2θ ≤ 80°, low angle first:
2θ (°)	I/Imax
21.7	53
25.3	75
25.4	48
25.6	45
25.8	100
30.9	35
40.3	40
40.8	27
43.5	25
44.3	95

Crystal structure
```
14
Lattice="-4.020 4.162 5.793 4.020 -4.162 5.793 4.020 4.162 -5.793" Properties=species:S:1:pos:R:3 pbc="T T T"
Tb 0.000 0.000 0.000
Tb 0.000 4.162 0.000
Tl 2.010 2.081 -2.896
Tl 2.010 -2.081 2.896
Tl 4.020 2.081 1.542
Tl 0.000 2.081 4.251
S 4.020 3.945 -2.998
S 4.020 -0.217 2.998
S 1.824 2.081 -0.033
S 2.196 -2.081 5.759
S 1.824 6.243 0.033
S 2.196 2.081 5.826
S 0.000 4.379 2.795
S 0.000 0.217 8.791
```



Tb7TlS5: computed powder diffractogram (λ = 1.5418 Å (Cu Kα)), based on a structure optimized by DFT (GGA-PBE).
Neutral-atom scattering factors, no anomalous dispersion.

Top 10 peaks for 10° ≤ 2θ ≤ 80°, low angle first:
2θ (°)	I/Imax
28.0	41
29.7	94
30.3	49
31.5	100
32.6	59
35.6	21
45.8	40
46.0	33
54.2	24
55.7	32

Crystal structure
```
26
Lattice="6.554 -1.973 0.000 6.554 1.973 0.000 -0.006 0.000 23.677" Properties=species:S:1:pos:R:3 pbc="T T T"
Tb 0.199 0.000 5.921
Tb 1.775 0.000 22.831
Tb 1.787 0.000 12.685
Tb 4.264 0.000 4.056
Tb 4.251 0.000 7.782
Tb 5.335 0.000 21.097
Tb 5.347 0.000 14.418
Tb 7.754 0.000 9.259
Tb 7.766 0.000 2.580
Tb 8.850 0.000 15.895
Tb 8.837 0.000 19.621
Tb 11.314 0.000 10.992
Tb 11.326 0.000 0.846
Tb 12.902 0.000 17.757
Tl 3.933 0.000 17.760
Tl 9.168 0.000 5.917
S 0.564 0.000 15.133
S 0.568 0.000 20.382
S 2.965 0.000 1.651
S 2.970 0.000 10.188
S 6.555 0.001 0.000
S 6.551 0.000 11.839
S 10.131 0.000 13.489
S 10.136 0.000 22.027
S 12.533 0.000 3.295
S 12.537 0.000 8.544
```



Tb3TlS6: computed powder diffractogram (λ = 1.5418 Å (Cu Kα)), based on a structure optimized by DFT (GGA-PBE).
Neutral-atom scattering factors, no anomalous dispersion.

Top 10 peaks for 10° ≤ 2θ ≤ 80°, low angle first:
2θ (°)	I/Imax
25.0	100
25.3	64
26.7	18
29.0	24
34.3	22
37.4	26
41.9	43
48.8	27
50.4	17
50.9	17

Crystal structure
```
20
Lattice="5.382 -6.743 0.000 5.382 6.743 0.000 0.000 0.000 6.677" Properties=species:S:1:pos:R:3 pbc="T T T"
Tb 5.382 5.473 3.339
Tb 3.370 1.320 3.942
Tb 3.370 -1.320 0.603
Tb 7.394 1.320 3.942
Tb 7.394 -1.320 0.603
Tb 5.382 -5.473 0.000
Tl 5.382 2.720 0.722
Tl 5.382 -2.720 4.060
S 3.500 3.683 2.186
S 1.749 0.424 1.957
S 1.749 -0.424 5.296
S 5.382 2.985 4.912
S 7.265 3.683 2.186
S 5.382 0.402 1.950
S 5.382 -0.402 5.289
S 3.500 -3.683 5.524
S 5.382 -2.985 1.573
S 9.016 0.424 1.957
S 9.016 -0.424 5.296
S 7.265 -3.683 5.524
```



Tb3TlS4: computed powder diffractogram (λ = 1.5418 Å (Cu Kα)), based on a structure optimized by DFT (GGA-PBE).
Neutral-atom scattering factors, no anomalous dispersion.

Top 10 peaks for 10° ≤ 2θ ≤ 80°, low angle first:
2θ (°)	I/Imax
25.5	45
26.7	27
27.6	100
28.9	22
30.5	76
32.3	91
44.3	54
45.6	67
53.0	55
57.0	18

Crystal structure
```
16
Lattice="3.976 0.000 0.000 -1.988 3.444 0.000 0.000 0.000 27.943" Properties=species:S:1:pos:R:3 pbc="T T T"
Tb 0.000 0.000 0.000
Tb 0.000 0.000 13.971
Tb 0.000 2.296 3.179
Tb 0.000 2.296 10.792
Tb 1.988 1.148 17.151
Tb 1.988 1.148 24.764
Tl 0.000 2.296 20.957
Tl 1.988 1.148 6.986
S 0.000 0.000 4.694
S 0.000 0.000 9.277
S 0.000 0.000 18.666
S 0.000 0.000 23.248
S 0.000 2.296 15.567
S 0.000 2.296 26.347
S 1.988 1.148 1.595
S 1.988 1.148 12.376
```



TbUTl2S6: computed powder diffractogram (λ = 1.5418 Å (Cu Kα)), based on a structure optimized by DFT (GGA-PBE).
Neutral-atom scattering factors, no anomalous dispersion.

Top 10 peaks for 10° ≤ 2θ ≤ 80°, low angle first:
2θ (°)	I/Imax
24.6	100
24.9	20
34.9	14
35.2	23
43.1	10
43.2	20
43.7	24
50.4	10
50.5	7
56.6	9

Crystal structure
```
20
Lattice="7.152 0.000 0.000 0.000 7.255 0.000 -7.136 0.000 10.289" Properties=species:S:1:pos:R:3 pbc="T T T"
Tb 0.000 0.000 0.000
Tb -3.568 3.627 5.144
U 0.008 0.000 5.144
U 3.576 3.627 0.000
Tl -3.617 0.339 7.702
Tl -0.048 3.288 2.557
Tl 0.064 3.967 7.731
Tl 3.632 6.916 2.587
S -2.105 1.365 4.720
S -5.673 2.262 9.865
S -1.317 5.128 4.675
S -4.886 5.754 9.819
S 0.630 0.150 2.658
S -2.938 3.478 7.803
S 2.953 3.777 2.486
S -0.615 7.105 7.631
S 4.901 1.500 0.469
S 1.333 2.127 5.614
S 5.688 4.993 0.424
S 2.120 5.890 5.568
```



Tb2TmS3: computed powder diffractogram (λ = 1.5418 Å (Cu Kα)), based on a structure optimized by DFT (GGA-PBE).
Neutral-atom scattering factors, no anomalous dispersion.

Top 10 peaks for 10° ≤ 2θ ≤ 80°, low angle first:
2θ (°)	I/Imax
28.0	83
32.5	100
46.5	12
46.6	60
55.2	13
55.3	27
57.9	13
58.0	12
75.1	11
77.4	16

Crystal structure
```
12
Lattice="3.907 0.000 0.000 0.000 5.505 0.000 0.000 0.000 11.683" Properties=species:S:1:pos:R:3 pbc="T T T"
Tb 0.000 0.000 1.980
Tb 0.000 0.000 9.703
Tb 1.954 2.753 3.861
Tb 1.954 2.753 7.821
Tm 0.000 0.000 5.841
Tm 1.954 2.753 0.000
S 0.000 2.753 1.889
S 0.000 2.753 5.841
S 0.000 2.753 9.794
S 1.954 0.000 0.000
S 1.954 0.000 3.953
S 1.954 0.000 7.730
```



TbTm4S7: computed powder diffractogram (λ = 1.5418 Å (Cu Kα)), based on a structure optimized by DFT (GGA-PBE).
Neutral-atom scattering factors, no anomalous dispersion.

Top 10 peaks for 10° ≤ 2θ ≤ 80°, low angle first:
2θ (°)	I/Imax
24.0	85
24.7	100
26.6	33
28.1	39
31.9	33
33.6	46
34.6	37
39.4	26
42.4	28
48.4	25

Crystal structure
```
12
Lattice="6.362 -1.882 0.000 6.362 1.882 0.000 -2.863 0.000 11.157" Properties=species:S:1:pos:R:3 pbc="T T T"
Tb 0.000 0.000 0.000
Tm 0.222 0.000 4.708
Tm 0.440 0.000 9.381
Tm 3.502 0.000 6.773
Tm 9.666 0.000 2.621
S -0.932 0.000 7.091
S 1.377 0.000 2.330
S 4.473 0.000 0.770
S 4.715 0.000 4.132
S 5.177 0.000 10.243
S 8.460 0.000 5.265
S 8.625 0.000 8.603
```



Tb3Y4TmS8: computed powder diffractogram (λ = 1.5418 Å (Cu Kα)), based on a structure optimized by DFT (GGA-PBE).
Neutral-atom scattering factors, no anomalous dispersion.

Top 10 peaks for 10° ≤ 2θ ≤ 80°, low angle first:
2θ (°)	I/Imax
13.9	11
26.7	8
27.9	65
32.4	100
46.4	71
55.0	31
57.7	24
67.7	11
74.8	12
77.1	31

Crystal structure
```
16
Lattice="3.914 2.260 6.390 -3.914 2.260 6.390 0.000 -4.519 6.390" Properties=species:S:1:pos:R:3 pbc="T T T"
Tb -1.957 -1.130 6.390
Tb -1.957 1.130 12.780
Tb 0.000 2.260 6.390
Y -3.914 0.000 9.585
Y -1.957 1.130 3.195
Y 1.957 1.130 3.195
Y 0.000 0.000 9.585
Tm 0.000 0.000 0.000
S 0.000 -2.288 7.974
S -1.981 1.144 7.974
S -1.981 -1.144 11.196
S 0.000 0.000 4.786
S 0.000 0.000 14.384
S 1.981 1.144 7.974
S 1.981 -1.144 11.196
S 0.000 2.288 11.196
```



TbU2S3: computed powder diffractogram (λ = 1.5418 Å (Cu Kα)), based on a structure optimized by DFT (GGA-PBE).
Neutral-atom scattering factors, no anomalous dispersion.

Top 10 peaks for 10° ≤ 2θ ≤ 80°, low angle first:
2θ (°)	I/Imax
28.1	99
32.6	100
46.8	61
46.9	12
55.5	41
55.6	8
58.1	19
68.3	12
75.4	14
77.7	23

Crystal structure
```
24
Lattice="5.496 0.000 0.000 0.000 11.667 0.000 -0.014 0.000 7.751" Properties=species:S:1:pos:R:3 pbc="T T T"
Tb 1.370 0.953 0.978
Tb 1.363 4.880 4.854
Tb 4.119 6.786 2.898
Tb 4.112 10.713 6.774
U 1.361 0.977 4.825
U 1.369 4.856 0.949
U 1.372 8.733 4.837
U 1.379 8.767 0.962
U 4.103 2.899 6.790
U 4.110 2.934 2.914
U 4.113 6.810 6.802
U 4.120 10.690 2.927
S 1.355 2.898 6.777
S 1.362 2.935 2.901
S 1.371 6.805 2.887
S 1.364 10.695 6.763
S 1.365 6.817 6.789
S 1.373 10.683 2.913
S 4.109 0.984 4.838
S 4.117 4.850 0.963
S 4.118 0.971 0.989
S 4.111 4.862 4.865
S 4.120 8.732 4.850
S 4.127 8.768 0.974
```